# 1
The following is a theoretical powder XRD pattern of LiH2S. It was derived from a structure optimized by DFT (GGA-PBE), using a wavelength of 1.5418 Å.
Peak positions follow from Bragg's law for the DFT cell and can differ from measured ones.

Crystal structure
Unit cell a=4.7500 b=6.5946 c=6.5425 alpha=90.00 beta=90.00 gamma=90.00
Space group Ama2 (No. 40)
Unique sites:
Li  0.2500  0.2340  0.0000
H  0.2500  0.4027  0.7402
H  0.2500  0.4842  0.8227
S  0.2500  0.4506  0.2892

Most intense lines, 15° ≤ 2θ ≤ 90°, sorted by position:
- d = 4.645 Å, I 100, hkl 0 1 1
- d = 3.297 Å, I 14, hkl 0 2 0
- d = 3.271 Å, I 24, hkl 0 0 2
- d = 2.375 Å, I 15, hkl 2 0 0
- d = 2.322 Å, I 18, hkl 0 2 2
- d = 2.115 Å, I 21, hkl 2 1 1
- d = 2.086 Å, I 14, hkl 1 2 2
- d = 1.908 Å, I 12, hkl 1 3 1

# 2
The following is a theoretical powder XRD pattern of La5Th2Mg. It was derived from a structure optimized by DFT (GGA-PBE), using a wavelength of 1.5418 Å.
Peak positions follow from Bragg's law for the DFT cell and can differ from measured ones.

Crystal structure
Unit cell a=10.0007 b=14.8444 c=3.6468 alpha=90.00 beta=90.00 gamma=90.00
Space group Cmmm (No. 65)
Unique sites:
La  0.0000  0.0000  0.0000
La  0.2356  0.3733  0.5000
Th  0.0000  0.2416  0.0000
Mg  0.0000  0.5000  0.0000

Most intense lines, 15° ≤ 2θ ≤ 90°, sorted by position:
- d = 2.980 Å, I 100, hkl 2 4 0
- d = 2.946 Å, I 99, hkl 2 0 1
- d = 2.601 Å, I 70, hkl 0 4 1
- d = 2.500 Å, I 30, hkl 4 0 0
- d = 1.855 Å, I 13, hkl 0 8 0
- d = 1.803 Å, I 45, hkl 4 4 1
- d = 1.570 Å, I 28, hkl 2 8 1
- d = 1.555 Å, I 29, hkl 2 4 2

# 3
The following is a theoretical powder XRD pattern of TlHgRuCl6. It was derived from a structure optimized by DFT (GGA-PBE), using a wavelength of 1.5418 Å.
Peak positions follow from Bragg's law for the DFT cell and can differ from measured ones.

Crystal structure
Unit cell a=6.8051 b=6.8051 c=6.7549 alpha=90.00 beta=90.00 gamma=120.00
Space group P312 (No. 149)
Unique sites:
Tl  0.0000  0.0000  0.0000
Hg  0.6667  0.3333  0.5000
Ru  0.3333  0.6667  0.5000
Cl  0.0428  0.3887  0.7014

Most intense lines, 15° ≤ 2θ ≤ 90°, sorted by position:
- d = 4.441 Å, I 100, hkl 1 0 1
- d = 3.403 Å, I 32, hkl 1 1 0
- d = 2.701 Å, I 26, hkl 2 0 1
- d = 2.397 Å, I 53, hkl 2 -1 2
- d = 2.115 Å, I 29, hkl 3 -1 1
- d = 2.103 Å, I 13, hkl 1 0 3
- d = 1.964 Å, I 18, hkl 3 0 0
- d = 1.589 Å, I 12, hkl 3 1 1

# 4
The following is a theoretical powder XRD pattern of CaPm2PrAs4. It was derived from a structure optimized by DFT (GGA-PBE), using a wavelength of 1.5418 Å.
Peak positions follow from Bragg's law for the DFT cell and can differ from measured ones.

Crystal structure
Unit cell a=6.0164 b=6.0164 c=12.0692 alpha=90.00 beta=90.00 gamma=90.00
Space group I4/mmm (No. 139)
Unique sites:
Ca  0.0000  0.0000  0.0000
Pm  0.0000  0.5000  0.2500
Pr  0.0000  0.0000  0.5000
As  0.0000  0.0000  0.2520
As  0.0000  0.5000  0.0000

Most intense lines, 15° ≤ 2θ ≤ 90°, sorted by position:
- d = 5.384 Å, I 9, hkl 1 0 1
- d = 3.477 Å, I 9, hkl 1 1 2
- d = 3.011 Å, I 100, hkl 2 0 0
- d = 2.129 Å, I 75, hkl 2 2 0
- d = 1.739 Å, I 26, hkl 2 2 4
- d = 1.349 Å, I 11, hkl 2 0 8
- d = 1.346 Å, I 22, hkl 4 2 0
- d = 1.229 Å, I 17, hkl 4 2 4

# 5
The following is a theoretical powder XRD pattern of SnSbRh3. It was derived from a structure optimized by DFT (GGA-PBE), using a wavelength of 1.5418 Å.
Peak positions follow from Bragg's law for the DFT cell and can differ from measured ones.

Crystal structure
Unit cell a=4.3198 b=7.9039 c=5.5293 alpha=90.00 beta=90.00 gamma=90.00
Space group Pmc2_1 (No. 26)
Unique sites:
Sn  0.0000  0.1523  0.0000
Sb  0.5000  0.3581  0.6133
Rh  0.0000  0.1869  0.4837
Rh  0.5000  0.0322  0.7657
Rh  0.5000  0.3114  0.1368

Most intense lines, 15° ≤ 2θ ≤ 90°, sorted by position:
- d = 3.791 Å, I 24, hkl 1 1 0
- d = 2.329 Å, I 68, hkl 1 0 2
- d = 2.249 Å, I 100, hkl 1 3 0
- d = 2.234 Å, I 48, hkl 1 1 2
- d = 2.160 Å, I 54, hkl 2 0 0
- d = 2.083 Å, I 24, hkl 1 3 1
- d = 1.907 Å, I 31, hkl 0 3 2
- d = 1.430 Å, I 24, hkl 2 3 2

# 6
The following is a theoretical powder XRD pattern of Pm4HoCu4. It was derived from a structure optimized by DFT (GGA-PBE), using a wavelength of 1.5418 Å.
Peak positions follow from Bragg's law for the DFT cell and can differ from measured ones.

Crystal structure
Unit cell a=8.4655 b=8.4655 c=6.3820 alpha=90.00 beta=90.00 gamma=90.00
Space group P4_2/n (No. 86, origin choice 2)
Unique sites:
Pm  0.0432  0.6609  0.1514
Ho  0.2500  0.2500  0.2500
Cu  0.0172  0.6281  0.5995

Most intense lines, 15° ≤ 2θ ≤ 90°, sorted by position:
- d = 3.256 Å, I 86, hkl 2 1 1
- d = 2.986 Å, I 48, hkl 1 0 2
- d = 2.677 Å, I 100, hkl 1 3 0
- d = 2.440 Å, I 45, hkl 1 2 2
- d = 2.114 Å, I 14, hkl 3 0 2
- d = 1.892 Å, I 63, hkl 4 2 0
- d = 1.727 Å, I 18, hkl 4 1 2
- d = 1.636 Å, I 25, hkl 5 0 1

# 7
The following is a theoretical powder XRD pattern of Mg4H3Ir2. It was derived from a structure optimized by DFT (GGA-PBE), using a wavelength of 1.5418 Å.
Peak positions follow from Bragg's law for the DFT cell and can differ from measured ones.

Crystal structure
Unit cell a=4.5108 b=4.5184 c=7.2703 alpha=72.05 beta=72.14 gamma=60.76
Space group P1 (No. 1)
Unique sites:
Mg  0.0000  0.0000  0.0000
Mg  0.1362  0.1344  0.5491
Mg  0.5589  0.5578  0.2810
Mg  0.7304  0.7280  0.8034
H  0.0543  0.5356  0.2834
H  0.5343  0.0537  0.2841
H  0.6065  0.6046  0.5334
Ir  0.2965  0.2970  0.1115
Ir  0.4182  0.4151  0.7333

Most intense lines, 15° ≤ 2θ ≤ 90°, sorted by position:
- d = 3.868 Å, I 100, hkl 0 1 0
- d = 3.825 Å, I 46, hkl 1 1 1
- d = 3.674 Å, I 36, hkl 1 0 1
- d = 2.342 Å, I 49, hkl 1 0 -2
- d = 2.331 Å, I 25, hkl 1 1 3
- d = 2.283 Å, I 26, hkl 1 -1 0
- d = 2.261 Å, I 37, hkl 1 2 1
- d = 2.255 Å, I 25, hkl 2 1 1

# 8
The following is a theoretical powder XRD pattern of La8Er3Th2. It was derived from a structure optimized by DFT (GGA-PBE), using a wavelength of 1.5418 Å.
Peak positions follow from Bragg's law for the DFT cell and can differ from measured ones.

Crystal structure
Unit cell a=21.0048 b=7.5683 c=5.8395 alpha=90.00 beta=90.03 gamma=90.00
Space group C2/m (No. 12)
Unique sites:
La  0.1050  0.2013  0.0001
La  0.1337  0.5000  0.4995
La  0.1757  0.0000  0.5008
Er  0.0000  0.2247  0.5000
Er  0.0000  0.5000  0.0000
Th  0.2426  0.5000  0.9989

Most intense lines, 15° ≤ 2θ ≤ 90°, sorted by position:
- d = 3.560 Å, I 30, hkl 2 2 0
- d = 3.109 Å, I 35, hkl 5 1 1
- d = 3.003 Å, I 41, hkl 6 0 -1
- d = 2.920 Å, I 46, hkl 0 0 2
- d = 2.717 Å, I 100, hkl 4 2 -1
- d = 2.626 Å, I 12, hkl 8 0 0
- d = 2.258 Å, I 17, hkl 2 2 -2
- d = 1.644 Å, I 23, hkl 4 2 -3

# 9
The following is a theoretical powder XRD pattern of Na2Ga7Pd. It was derived from a structure optimized by DFT (GGA-PBE), using a wavelength of 1.5418 Å.
Peak positions follow from Bragg's law for the DFT cell and can differ from measured ones.

Crystal structure
Unit cell a=4.2800 b=4.2800 c=11.0521 alpha=90.00 beta=90.00 gamma=90.00
Space group P-4m2 (No. 115)
Unique sites:
Na  0.0000  0.5000  0.2356
Ga  0.0000  0.0000  0.0000
Ga  0.0000  0.0000  0.5000
Ga  0.0000  0.5000  0.6432
Ga  0.0000  0.5000  0.8702
Ga  0.5000  0.5000  0.5000
Pd  0.5000  0.5000  0.0000

Most intense lines, 15° ≤ 2θ ≤ 90°, sorted by position:
- d = 5.526 Å, I 50, hkl 0 0 2
- d = 3.991 Å, I 51, hkl 1 0 1
- d = 2.792 Å, I 28, hkl 1 0 3
- d = 2.654 Å, I 100, hkl 1 1 2
- d = 2.140 Å, I 68, hkl 2 0 0
- d = 2.041 Å, I 83, hkl 1 1 4
- d = 1.964 Å, I 22, hkl 1 0 5
- d = 1.215 Å, I 29, hkl 3 1 4

# 10
The following is a theoretical powder XRD pattern of NaLaNb4N8. It was derived from a structure optimized by DFT (GGA-PBE), using a wavelength of 1.5418 Å.
Peak positions follow from Bragg's law for the DFT cell and can differ from measured ones.

Crystal structure
Unit cell a=6.3973 b=6.3973 c=16.4688 alpha=90.00 beta=90.00 gamma=120.00
Space group R3m (No. 160, hexagonal axes)
Unique sites:
Na  0.0000  0.0000  0.0000
La  0.0000  0.0000  0.3797
Nb  0.0000  0.0000  0.6272
Nb  0.1726  0.3452  0.8346
N  0.0000  0.0000  0.2385
N  0.0000  0.0000  0.7655
N  0.0128  0.5064  0.2456
N  0.0423  0.5212  0.7736

Most intense lines, 15° ≤ 2θ ≤ 90°, sorted by position:
- d = 3.305 Å, I 90, hkl 1 0 4
- d = 2.831 Å, I 54, hkl 0 1 5
- d = 2.764 Å, I 93, hkl 1 1 3
- d = 2.732 Å, I 100, hkl 0 2 1
- d = 1.866 Å, I 32, hkl 2 1 4
- d = 1.793 Å, I 35, hkl 0 2 7
- d = 1.652 Å, I 45, hkl 2 0 8
- d = 1.599 Å, I 42, hkl 2 2 0

# 11
The following is a theoretical powder XRD pattern of Li7Ga4Ge. It was derived from a structure optimized by DFT (GGA-PBE), using a wavelength of 1.5418 Å.
Peak positions follow from Bragg's law for the DFT cell and can differ from measured ones.

Crystal structure
Unit cell a=12.4625 b=4.7697 c=7.8541 alpha=90.00 beta=118.79 gamma=90.00
Space group C2/m (No. 12)
Unique sites:
Li  0.0000  0.0000  0.0000
Li  0.0829  0.5000  0.4354
Li  0.1907  0.5000  0.8761
Li  0.2249  0.5000  0.2500
Ga  0.0574  0.0000  0.6973
Ga  0.1729  0.0000  0.3690
Ge  0.0000  0.5000  0.0000

Most intense lines, 15° ≤ 2θ ≤ 90°, sorted by position:
- d = 4.371 Å, I 50, hkl 1 1 0
- d = 4.061 Å, I 38, hkl 1 1 -1
- d = 3.405 Å, I 72, hkl 1 1 1
- d = 3.000 Å, I 100, hkl 1 1 -2
- d = 2.935 Å, I 53, hkl 4 0 -2
- d = 2.385 Å, I 58, hkl 0 2 0
- d = 2.201 Å, I 34, hkl 4 0 1
- d = 2.179 Å, I 74, hkl 5 1 -1

# 12
The following is a theoretical powder XRD pattern of Sm2Ni3Sn4Pt. It was derived from a structure optimized by DFT (GGA-PBE), using a wavelength of 1.5418 Å.
Peak positions follow from Bragg's law for the DFT cell and can differ from measured ones.

Crystal structure
Unit cell a=4.4708 b=4.4708 c=10.2757 alpha=90.00 beta=90.00 gamma=90.00
Space group P-4m2 (No. 115)
Unique sites:
Sm  0.0000  0.5000  0.2419
Ni  0.0000  0.0000  0.0000
Ni  0.0000  0.5000  0.6229
Sn  0.0000  0.0000  0.5000
Sn  0.0000  0.5000  0.8636
Sn  0.5000  0.5000  0.5000
Pt  0.5000  0.5000  0.0000

Most intense lines, 15° ≤ 2θ ≤ 90°, sorted by position:
- d = 2.719 Å, I 43, hkl 1 0 3
- d = 2.692 Å, I 100, hkl 1 1 2
- d = 2.235 Å, I 59, hkl 2 0 0
- d = 1.994 Å, I 20, hkl 1 1 4
- d = 1.867 Å, I 19, hkl 1 0 5
- d = 1.727 Å, I 22, hkl 2 1 3
- d = 1.581 Å, I 20, hkl 2 2 0
- d = 1.363 Å, I 25, hkl 3 1 2